# 1
Diffraction record for Mg6NiSnO8. The X-ray diffraction stick pattern is simulated, not measured: it uses DFT lattice parameters and positions (GGA+U) and Cu Ka.

Structure:
```
data_Mg6NiSnO8
_space_group_name_H-M_alt 'P 4/m m m'
_space_group_IT_number 123
_space_group_name_Hall '-P 4 2'
_cell_length_a 4.4196
_cell_length_b 4.4196
_cell_length_c 8.7956
_cell_angle_alpha 90.00
_cell_angle_beta 90.00
_cell_angle_gamma 90.00
loop_
_atom_site_label
_atom_site_type_symbol
_atom_site_fract_x
_atom_site_fract_y
_atom_site_fract_z
Mg1 Mg 0.0000 0.0000 0.0000
Mg2 Mg 0.0000 0.0000 0.5000
Mg3 Mg 0.0000 0.5000 0.2342
Ni1 Ni 0.5000 0.5000 0.0000
Sn1 Sn 0.5000 0.5000 0.5000
O1 O 0.0000 0.0000 0.2493
O2 O 0.0000 0.5000 0.0000
O3 O 0.0000 0.5000 0.5000
O4 O 0.5000 0.5000 0.2334
```

The 10 most intense peaks (2θ from 10° to 80°), most intense first:
- 2θ = 40.8°, I 100
- 2θ = 28.6°, I 65
- 2θ = 35.2°, I 59
- 2θ = 59.3°, I 57
- 2θ = 20.1°, I 50
- 2θ = 41.0°, I 47
- 2θ = 59.1°, I 30
- 2θ = 74.5°, I 27
- 2θ = 20.2°, I 26
- 2θ = 45.9°, I 25

# 2
Diffraction record for Mg2Ta2Ni2O9. The X-ray diffraction stick pattern is simulated, not measured: it uses DFT lattice parameters and positions (GGA+U) and Cu Ka.

Structure:
```
data_Mg2Ta2Ni2O9
_space_group_name_H-M_alt 'P -3 c 1'
_space_group_IT_number 165
_space_group_name_Hall '-P 3 2"c'
_cell_length_a 5.1950
_cell_length_b 5.1950
_cell_length_c 14.0959
_cell_angle_alpha 90.00
_cell_angle_beta 90.00
_cell_angle_gamma 120.00
loop_
_atom_site_label
_atom_site_type_symbol
_atom_site_fract_x
_atom_site_fract_y
_atom_site_fract_z
Mg1 Mg 0.3333 0.6667 0.1911
Ta1 Ta 0.0000 0.0000 0.1424
Ni1 Ni 0.3333 0.6667 0.4874
O1 O 0.0000 0.2882 0.2500
O2 O 0.0261 0.3468 0.5844
```

The 10 most intense peaks (2θ from 10° to 80°), most intense first:
- 2θ = 32.3°, I 100
- 2θ = 19.7°, I 84
- 2θ = 34.5°, I 61
- 2θ = 48.0°, I 37
- 2θ = 60.4°, I 36
- 2θ = 52.5°, I 30
- 2θ = 23.5°, I 27
- 2θ = 61.9°, I 21
- 2θ = 40.1°, I 12
- 2θ = 69.9°, I 12

# 3
Diffraction record for Mg2Ta2NiO8. The X-ray diffraction stick pattern is simulated, not measured: it uses DFT lattice parameters and positions (GGA+U) and Cu Ka.

Structure:
```
data_Mg2Ta2NiO8
_space_group_name_H-M_alt 'C 1 2/c 1'
_space_group_IT_number 15
_cell_length_a 18.9741
_cell_length_b 5.9762
_cell_length_c 5.1859
_cell_angle_alpha 90.00
_cell_angle_beta 90.03
_cell_angle_gamma 90.00
loop_
_space_group_symop_operation_xyz
'x,y,z'
'-x,-y,-z'
'-x,y,-z+1/2'
'x,-y,z+1/2'
'x+1/2,y+1/2,z'
'-x+1/2,-y+1/2,-z'
'-x+1/2,y+1/2,-z+1/2'
'x+1/2,-y+1/2,z+1/2'
loop_
_atom_site_label
_atom_site_type_symbol
_atom_site_fract_x
_atom_site_fract_y
_atom_site_fract_z
Mg1 Mg 0.2275 0.1434 0.2454
Ta1 Ta 0.1147 0.3347 0.7443
Ni1 Ni 0.0000 0.1420 0.2500
O1 O 0.0580 0.1232 0.5861
O2 O 0.0699 0.3868 0.0820
O3 O 0.1856 0.3974 0.4563
O4 O 0.1907 0.1454 0.8811
```

The 10 most intense peaks (2θ from 10° to 80°), most intense first:
- 2θ = 32.9°, I 100
- 2θ = 34.6°, I 82
- 2θ = 26.8°, I 69
- 2θ = 23.2°, I 68
- 2θ = 52.3°, I 64
- 2θ = 18.7°, I 48
- 2θ = 39.6°, I 44
- 2θ = 27.8°, I 36
- 2θ = 20.4°, I 29
- 2θ = 15.5°, I 23

# 4
Diffraction record for MgNiTe2O6. The X-ray diffraction stick pattern is simulated, not measured: it uses DFT lattice parameters and positions (GGA+U) and Cu Ka.

Structure:
```
data_MgNiTe2O6
_space_group_name_H-M_alt 'C 1 2/c 1'
_space_group_IT_number 15
_cell_length_a 9.4299
_cell_length_b 10.6633
_cell_length_c 5.0991
_cell_angle_alpha 90.00
_cell_angle_beta 95.22
_cell_angle_gamma 90.00
loop_
_space_group_symop_operation_xyz
'x,y,z'
'-x,-y,-z'
'-x,y,-z+1/2'
'x,-y,z+1/2'
'x+1/2,y+1/2,z'
'-x+1/2,-y+1/2,-z'
'-x+1/2,y+1/2,-z+1/2'
'x+1/2,-y+1/2,z+1/2'
loop_
_atom_site_label
_atom_site_type_symbol
_atom_site_fract_x
_atom_site_fract_y
_atom_site_fract_z
Mg1 Mg 0.0000 0.2306 0.2500
Ni1 Ni 0.0000 0.0769 0.7500
Te1 Te 0.1854 0.3783 0.7072
O1 O 0.0964 0.3630 0.0251
O2 O 0.1213 0.0843 0.1152
O3 O 0.1399 0.2034 0.5958
```

The 10 most intense peaks (2θ from 10° to 80°), most intense first:
- 2θ = 24.2°, I 100
- 2θ = 29.9°, I 85
- 2θ = 29.7°, I 66
- 2θ = 31.9°, I 46
- 2θ = 33.6°, I 45
- 2θ = 22.3°, I 38
- 2θ = 38.8°, I 38
- 2θ = 36.0°, I 35
- 2θ = 35.4°, I 32
- 2θ = 49.0°, I 25

# 5
Diffraction record for MgUNi2O6. The X-ray diffraction stick pattern is simulated, not measured: it uses DFT lattice parameters and positions (GGA+U) and Cu Ka.

Structure:
```
data_MgUNi2O6
_space_group_name_H-M_alt 'P 4 m m'
_space_group_IT_number 99
_cell_length_a 5.8214
_cell_length_b 5.8214
_cell_length_c 4.1901
_cell_angle_alpha 90.00
_cell_angle_beta 90.00
_cell_angle_gamma 90.00
loop_
_space_group_symop_operation_xyz
'x,y,z'
'-y,x,z'
'-x,-y,z'
'y,-x,z'
'-x,y,z'
'y,x,z'
'x,-y,z'
'-y,-x,z'
loop_
_atom_site_label
_atom_site_type_symbol
_atom_site_fract_x
_atom_site_fract_y
_atom_site_fract_z
Mg1 Mg 0.0000 0.0000 0.0000
U1 U 0.5000 0.5000 0.0225
Ni1 Ni 0.0000 0.5000 0.1971
O1 O 0.0000 0.0000 0.5121
O2 O 0.2502 0.2502 0.0680
O3 O 0.5000 0.5000 0.5308
```

The 10 most intense peaks (2θ from 10° to 80°), most intense first:
- 2θ = 15.2°, I 100
- 2θ = 21.2°, I 84
- 2θ = 30.7°, I 60
- 2θ = 26.2°, I 58
- 2θ = 44.0°, I 41
- 2θ = 30.4°, I 39
- 2θ = 48.8°, I 38
- 2θ = 40.8°, I 37
- 2θ = 49.3°, I 35
- 2θ = 37.6°, I 32